The following is a calculated powder X-ray diffraction pattern of Tl16In12Sn. It was derived from a PBE-relaxed structure, using Cu Kα (λ = 1.5418 Å).
Lines closer than 0.1° are merged.

Top 10 peaks for 5 to 70 degrees two-theta, low angle first:
d [Å]	I_rel
2.837	66
2.825	100
2.811	66
2.802	14
2.554	23
1.637	16
1.634	13
1.632	14
1.628	9
1.621	12

Atomic structure:
Cell lengths 11.892, 17.048, 10.335 Å; angles 90.00, 124.92, 90.00 degrees
Space group Cm (No. 8)
One atom of each set of equivalent atoms:
Tl1 0.000 0.000 0.000
Tl2 0.001 0.000 0.357
Tl3 0.018 0.303 0.675
Tl4 0.040 0.361 0.358
Tl5 0.198 0.198 0.036
Tl6 0.318 0.000 0.070
Tl7 0.320 0.319 0.357
Tl8 0.338 0.341 0.753
Tl9 0.360 0.000 0.716
Tl10 0.442 0.160 0.958
In1 0.088 0.093 0.721
In2 0.132 0.500 0.174
In3 0.183 0.185 0.544
In4 0.227 0.406 0.989
In5 0.281 0.089 0.361
In6 0.303 0.500 0.535
In7 0.499 0.315 0.170
Sn1 0.111 0.500 0.657